1.
Computed powder X-ray diffraction pattern
Compound: ThBiH2
Radiation: CuKα
Structure: a cell relaxed with PBE
Peak positions follow from Bragg's law for the DFT cell and can differ from measured ones.

Largest 6 diffraction maxima, in order of rising 2θ, 15 to 90 degrees two-theta:
index  d/Å  I (rel.)
0 2 0  3.197  53
1 0 1  3.179  39
1 1 1  2.847  100
0 1 2  2.632  61
1 2 1  2.254  32
1 3 1  1.770  26

Cell and atoms:
```
data_ThBiH2
_chemical_formula_sum 'Th2 Bi2 H4'
_cell_length_a 3.808
_cell_length_b 6.394
_cell_length_c 5.777
_cell_angle_alpha 90.00
_cell_angle_beta 90.00
_cell_angle_gamma 90.00
_space_group_name_H-M_alt 'P m m n'
_space_group_IT_number 59
loop_
_space_group_symop_operation_xyz
'x,y,z'
'-x,-y,-z'
'-x+1/2,-y+1/2,z'
'x+1/2,y+1/2,-z'
'x+1/2,-y,-z'
'-x+1/2,y,z'
'-x,y+1/2,-z'
'x,-y+1/2,z'
loop_
_atom_site_label
_atom_site_type_symbol
_atom_site_fract_x
_atom_site_fract_y
_atom_site_fract_z
Th1 Th 0.250 0.250 0.109
Bi1 Bi 0.250 0.750 0.401
H1 H 0.250 0.552 0.901
```

---

2.
Computed powder X-ray diffraction pattern
Compound: Ac4Pm
Radiation: CuKα
Structure: a cell relaxed with PBE
Peak positions follow from Bragg's law for the DFT cell and can differ from measured ones.

Largest 6 diffraction maxima, in order of rising 2θ, 15 to 90 degrees two-theta:
index  d/Å  I (rel.)
2 1 1  3.209  100
1 3 0  2.779  52
4 2 0  1.965  39
2 1 3  1.676  47
5 0 3  1.275  19
1 3 4  1.243  18

Cell and atoms:
```
data_Ac4Pm
_chemical_formula_sum 'Ac8 Pm2'
_cell_length_a 8.787
_cell_length_b 8.787
_cell_length_c 5.559
_cell_angle_alpha 90.00
_cell_angle_beta 90.00
_cell_angle_gamma 90.00
_space_group_name_H-M_alt 'I 4/m'
_space_group_IT_number 87
_space_group_name_Hall '-I 4'
loop_
_atom_site_label
_atom_site_type_symbol
_atom_site_fract_x
_atom_site_fract_y
_atom_site_fract_z
Ac1 Ac 0.102 0.297 0.000
Pm1 Pm 0.000 0.000 0.500
```

---

3.
Computed powder X-ray diffraction pattern
Compound: Pr2SiO5
Radiation: CuKα
Structure: a cell relaxed with PBE
Peak positions follow from Bragg's law for the DFT cell and can differ from measured ones.

Largest 6 diffraction maxima, in order of rising 2θ, 15 to 90 degrees two-theta:
index  d/Å  I (rel.)
3 1 -1  4.061  100
4 0 -2  3.683  61
0 2 1  3.300  64
3 1 -3  3.183  82
2 0 2  3.065  98
5 1 -1  2.653  42

Cell and atoms:
```
data_Pr2SiO5
_chemical_formula_sum 'Pr16 Si8 O40'
_cell_length_a 14.961
_cell_length_b 7.055
_cell_length_c 11.012
_cell_angle_alpha 90.00
_cell_angle_beta 121.99
_cell_angle_gamma 90.00
_space_group_name_H-M_alt 'C 1 2/c 1'
_space_group_IT_number 15
_space_group_name_Hall '-C 2yc'
loop_
_atom_site_label
_atom_site_type_symbol
_atom_site_fract_x
_atom_site_fract_y
_atom_site_fract_z
Pr1 Pr 0.037 0.248 0.463
Pr2 Pr 0.145 0.122 0.833
Si1 Si 0.180 0.413 0.309
O1 O 0.017 0.091 0.896
O2 O 0.094 0.495 0.650
O3 O 0.119 0.220 0.315
O4 O 0.196 0.439 0.935
O5 O 0.207 0.140 0.671
```

---

4.
Computed powder X-ray diffraction pattern
Compound: AcCdCuPt
Radiation: CuKα
Structure: a cell relaxed with PBE
Peak positions follow from Bragg's law for the DFT cell and can differ from measured ones.

Largest 6 diffraction maxima, in order of rising 2θ, 15 to 90 degrees two-theta:
index  d/Å  I (rel.)
1 1 1  4.138  17
2 2 0  2.534  100
4 0 0  1.792  18
4 2 2  1.463  36
4 4 0  1.267  11
6 2 0  1.133  16

Cell and atoms:
```
data_AcCdCuPt
_chemical_formula_sum 'Ac4 Cd4 Cu4 Pt4'
_cell_length_a 7.167
_cell_length_b 7.167
_cell_length_c 7.167
_cell_angle_alpha 90.00
_cell_angle_beta 90.00
_cell_angle_gamma 90.00
_space_group_name_H-M_alt 'F -4 3 m'
_space_group_IT_number 216
_space_group_name_Hall 'F -4 2 3'
loop_
_atom_site_label
_atom_site_type_symbol
_atom_site_fract_x
_atom_site_fract_y
_atom_site_fract_z
Ac1 Ac 0.000 0.000 0.000
Cd1 Cd 0.000 0.000 0.500
Cu1 Cu 0.250 0.250 0.250
Pt1 Pt 0.250 0.250 0.750
```

---

5.
Computed powder X-ray diffraction pattern
Compound: Cs3Ga2Hg13
Radiation: CuKα
Structure: a cell relaxed with PBE
Peak positions follow from Bragg's law for the DFT cell and can differ from measured ones.

Largest 6 diffraction maxima, in order of rising 2θ, 15 to 90 degrees two-theta:
index  d/Å  I (rel.)
2 0 0  3.094  54
1 1 3  2.785  100
2 0 3  2.540  72
3 0 3  1.871  32
2 2 0  1.786  38
2 2 6  1.393  27

Cell and atoms:
```
data_Cs3Ga2Hg13
_chemical_formula_sum 'Cs3 Ga2 Hg13'
_cell_length_a 7.1442
_cell_length_b 7.1442
_cell_length_c 13.3429
_cell_angle_alpha 90.00
_cell_angle_beta 90.00
_cell_angle_gamma 120.00
_space_group_name_H-M_alt 'P 6/m m m'
_space_group_IT_number 191
_space_group_name_Hall '-P 6 2'
loop_
_atom_site_label
_atom_site_type_symbol
_atom_site_fract_x
_atom_site_fract_y
_atom_site_fract_z
Cs1 Cs 0.0000 0.0000 0.0000
Cs2 Cs 0.0000 0.0000 0.3282
Ga1 Ga 0.3333 0.6667 0.0000
Hg1 Hg 0.0000 0.5000 0.1497
Hg2 Hg 0.0000 0.5000 0.5000
Hg3 Hg 0.3333 0.6667 0.3232
```